[1]
For VIr, the GGA-PBE geometry in the Materials Project gives the computed powder diffractogram in this record (λ = 1.5418 Å (Cu Kα)).

Main lines, in order of falling intensity (2θ = 5–70°):
d [Å]	I/Imax
2.202	100
2.779	35
3.608	31
1.984	19
1.947	17
1.804	12
1.390	11
1.513	10
1.714	9
1.738	9

Atomic structure:
```
VIr
1.0
3.608 -3.894 0.000
3.608 3.894 0.000
0.000 0.000 3.968
V Ir
4 4
Direct
0.000 0.000 0.000
0.218 0.782 0.500
0.500 0.500 0.000
0.782 0.218 0.500
0.000 0.500 0.000
0.273 0.273 0.500
0.500 0.000 0.000
0.727 0.727 0.500
```

[2]
For LaSn6Ru4, the GGA-PBE geometry in the Materials Project gives the computed powder diffractogram in this record (λ = 1.5418 Å (Cu Kα)).

Main lines, in order of falling intensity (2θ = 5–70°):
d [Å]	I/Imax
2.265	100
2.850	49
2.973	48
2.213	43
2.205	35
2.464	31
1.505	22
1.747	22
1.667	19
2.985	18

Atomic structure:
```
LaSn6Ru4
1.0
-3.485 3.485 4.954
3.485 -3.485 4.954
3.485 3.485 -4.954
La Sn Ru
1 6 4
Direct
0.000 0.000 0.000
0.000 0.500 0.500
0.119 0.472 0.000
0.472 0.119 0.000
0.500 0.000 0.500
0.528 0.528 0.647
0.881 0.881 0.353
0.249 0.249 0.656
0.406 0.751 0.000
0.594 0.594 0.344
0.751 0.406 0.000
```

[3]
For DyCo3, the GGA-PBE geometry in the Materials Project gives the computed powder diffractogram in this record (λ = 1.5418 Å (Cu Kα)).

Main lines, in order of falling intensity (2θ = 5–70°):
d [Å]	I/Imax
2.115	100
2.477	52
2.706	49
2.486	42
2.137	37
1.431	24
1.349	21
1.470	15
1.353	13
1.964	12

Atomic structure:
```
DyCo3
1.0
2.477 1.430 8.133
-2.477 1.430 8.133
0.000 -2.861 8.133
Dy Co
3 9
Direct
0.000 0.000 0.000
0.139 0.139 0.139
0.861 0.861 0.861
0.079 0.582 0.582
0.335 0.335 0.335
0.418 0.418 0.921
0.418 0.921 0.418
0.500 0.500 0.500
0.582 0.079 0.582
0.582 0.582 0.079
0.665 0.665 0.665
0.921 0.418 0.418
```

[4]
For K2GaHgBr6, the GGA-PBE geometry in the Materials Project gives the computed powder diffractogram in this record (λ = 1.5418 Å (Cu Kα)).

Main lines, in order of falling intensity (2θ = 5–70°):
d [Å]	I/Imax
2.761	100
5.521	97
1.952	70
2.469	51
1.840	27
3.904	26
3.188	25
1.594	24
3.329	17
2.533	16

Atomic structure:
```
K2GaHgBr6
1.0
0.000 5.521 5.521
5.521 0.000 5.521
5.521 5.521 0.000
K Ga Hg Br
2 1 1 6
Direct
0.250 0.250 0.250
0.750 0.750 0.750
0.000 0.000 0.000
0.500 0.500 0.500
0.238 0.238 0.762
0.238 0.762 0.238
0.238 0.762 0.762
0.762 0.238 0.238
0.762 0.238 0.762
0.762 0.762 0.238
```

[5]
For YTa7O19, the GGA-PBE geometry in the Materials Project gives the computed powder diffractogram in this record (λ = 1.5418 Å (Cu Kα)).

Main lines, in order of falling intensity (2θ = 5–70°):
d [Å]	I/Imax
3.096	100
3.352	59
2.472	51
2.659	42
1.809	37
1.592	36
2.991	33
5.028	31
5.427	28
1.693	20

Atomic structure:
```
YTa7O19
1.0
6.266 0.000 0.000
-3.133 5.427 0.000
0.000 0.000 20.114
Y Ta O
2 14 38
Direct
0.000 0.000 0.000
0.000 0.000 0.500
0.027 0.333 0.155
0.027 0.333 0.345
0.027 0.694 0.655
0.027 0.694 0.845
0.306 0.333 0.655
0.306 0.333 0.845
0.306 0.973 0.155
0.306 0.973 0.345
0.333 0.667 0.000
0.333 0.667 0.500
0.667 0.694 0.155
0.667 0.694 0.345
0.667 0.973 0.655
0.667 0.973 0.845
0.000 0.000 0.131
0.000 0.000 0.369
0.000 0.000 0.631
0.000 0.000 0.869
0.040 0.291 0.250
0.040 0.749 0.750
0.095 0.378 0.056
0.095 0.378 0.444
0.095 0.716 0.556
0.095 0.716 0.944
0.251 0.291 0.750
0.251 0.960 0.250
0.284 0.378 0.556
0.284 0.378 0.944
0.284 0.905 0.056
0.284 0.905 0.444
0.333 0.667 0.166
0.333 0.667 0.334
0.333 0.667 0.666
0.333 0.667 0.834
0.420 0.086 0.653
0.420 0.086 0.847
0.420 0.333 0.153
0.420 0.333 0.347
0.622 0.716 0.056
0.622 0.716 0.444
0.622 0.905 0.556
0.622 0.905 0.944
0.667 0.086 0.153
0.667 0.086 0.347
0.667 0.580 0.653
0.667 0.580 0.847
0.709 0.749 0.250
0.709 0.960 0.750
0.914 0.333 0.653
0.914 0.333 0.847
0.914 0.580 0.153
0.914 0.580 0.347
```

[6]
For Ca2SnGe2, the GGA-PBE geometry in the Materials Project gives the computed powder diffractogram in this record (λ = 1.5418 Å (Cu Kα)).

Main lines, in order of falling intensity (2θ = 5–70°):
d [Å]	I/Imax
2.676	100
2.867	77
2.358	68
4.486	59
2.087	45
1.625	43
2.243	36
1.390	29
2.636	21
2.068	16

Atomic structure:
```
Ca2SnGe2
1.0
7.455 0.000 0.000
0.000 7.455 0.000
0.000 0.000 4.486
Ca Sn Ge
4 2 4
Direct
0.177 0.323 0.000
0.323 0.823 0.000
0.677 0.177 0.000
0.823 0.677 0.000
0.000 0.000 0.500
0.500 0.500 0.500
0.119 0.619 0.500
0.381 0.119 0.500
0.619 0.881 0.500
0.881 0.381 0.500
```

[7]
For Li5SbO5, the GGA-PBE geometry in the Materials Project gives the computed powder diffractogram in this record (λ = 1.5418 Å (Cu Kα)).

Main lines, in order of falling intensity (2θ = 5–70°):
d [Å]	I/Imax
5.563	100
3.727	85
4.321	53
4.649	38
2.104	30
3.301	30
3.107	24
2.161	22
2.926	21
2.034	19

Atomic structure:
```
Li5SbO5
1.0
4.914 -2.034 0.000
4.914 2.034 0.000
-1.903 0.000 5.563
Li Sb O
5 1 5
Direct
0.000 0.000 0.000
0.289 0.289 0.158
0.311 0.311 0.639
0.689 0.689 0.361
0.711 0.711 0.842
0.000 0.000 0.500
0.144 0.144 0.326
0.157 0.157 0.817
0.500 0.500 0.500
0.843 0.843 0.183
0.856 0.856 0.674
```

[8]
For U, the GGA-PBE geometry in the Materials Project gives the computed powder diffractogram in this record (λ = 1.5418 Å (Cu Kα)).

Main lines, in order of falling intensity (2θ = 5–70°):
d [Å]	I/Imax
2.723	100
2.537	69
2.385	66
2.185	44
2.581	44
2.358	41
2.793	32
1.787	32
2.421	29
1.604	26

Atomic structure:
```
U
1.0
4.161 -3.561 0.000
4.161 3.561 0.000
-3.654 0.000 4.226
U
6
Direct
0.179 0.821 0.750
0.196 0.361 0.130
0.361 0.196 0.630
0.639 0.804 0.370
0.804 0.639 0.870
0.821 0.179 0.250
```

[9]
For BaLiF3, the GGA-PBE geometry in the Materials Project gives the computed powder diffractogram in this record (λ = 1.5418 Å (Cu Kα)).

Main lines, in order of falling intensity (2θ = 5–70°):
d [Å]	I/Imax
2.866	100
4.053	99
2.340	95
2.026	50
1.812	45
1.654	41
1.433	30
1.351	23

Atomic structure:
```
BaLiF3
1.0
4.053 0.000 0.000
0.000 4.053 0.000
0.000 0.000 4.053
Ba Li F
1 1 3
Direct
0.000 0.000 0.000
0.500 0.500 0.500
0.000 0.500 0.500
0.500 0.000 0.500
0.500 0.500 0.000
```